# ErTm2Tl2
Computed powder diffractogram, λ = 1.5418 Å (Cu Kα). Input: a GGA-PBE-relaxed structure.
Kinematic intensities with the Lorentz-polarization factor, no thermal factor.

```
ErTm2Tl2
1.0
3.725 0.000 0.000
0.000 5.330 0.000
-1.870 0.000 13.823
Er Tm Tl
2 4 4
Direct
0.150 0.250 0.301
0.850 0.750 0.699
0.049 0.750 0.098
0.239 0.750 0.477
0.761 0.250 0.523
0.951 0.250 0.902
0.356 0.250 0.710
0.451 0.750 0.902
0.549 0.250 0.098
0.644 0.750 0.290
```

Largest 10 diffraction maxima, by angle, 10° ≤ 2θ ≤ 90°:
2θ/deg	intensity
32.4	25.0
33.5	100.0
33.6	25.6
47.4	17.5
48.9	9.1
58.5	8.2
59.9	8.8
60.1	19.1
60.7	9.6
81.5	8.1